No. 1
Li4PuIn15: calculated XRD peak list (Cu Kα (λ = 1.5418 Å)), based on a crystal structure in Alexandria, relaxed with PBE.

Largest 10 diffraction maxima, by intensity, 2θ from 10° to 90°:
(1 1 5), 33.90°, intensity 100.0
(2 0 0), 39.74°, intensity 32.3
(3 1 5), 68.41°, intensity 24.9
(2 0 10), 56.56°, intensity 22.0
(0 0 10), 38.55°, intensity 17.3
(1 1 15), 66.79°, intensity 12.9
(2 2 10), 71.34°, intensity 10.9
(2 2 0), 57.45°, intensity 10.7
(1 0 0), 19.57°, intensity 5.5
(1 0 1), 19.94°, intensity 4.8

Structural model:
Cell: 4.5367 4.5367 23.3522 Å, 90.00 90.00 90.00°
Space group P4/mmm (No. 123)
Symmetry-distinct sites (fractional):
Li  0.0000  0.0000  0.0994 [2 per cell]
Li  0.0000  0.0000  0.3022 [2 per cell]
Pu  0.0000  0.0000  0.5000 [1 per cell]
In  0.0000  0.5000  0.0000 [2 per cell]
In  0.0000  0.5000  0.1996 [4 per cell]
In  0.0000  0.5000  0.3959 [4 per cell]
In  0.5000  0.5000  0.0984 [2 per cell]
In  0.5000  0.5000  0.2989 [2 per cell]
In  0.5000  0.5000  0.5000 [1 per cell]

No. 2
Mg7Ag6: calculated XRD peak list (Cu Kα (λ = 1.5418 Å)), based on a crystal structure in Alexandria, relaxed with PBE.

Largest 10 diffraction maxima, by intensity, 2θ from 10° to 90°:
(1 1 0), 31.81°, intensity 100.0
(1 1 6), 37.18°, intensity 60.2
(1 0 10), 36.61°, intensity 48.8
(0 1 11), 39.49°, intensity 28.3
(1 0 1), 18.48°, intensity 22.5
(2 1 10), 59.85°, intensity 21.2
(2 2 0), 66.47°, intensity 19.4
(3 0 0), 56.68°, intensity 18.0
(0 2 1), 37.04°, intensity 17.7
(0 0 6), 18.74°, intensity 15.7

Structural model:
Cell: 5.6260 5.6260 28.4122 Å, 90.00 90.00 120.00°
Space group R-3m (No. 166, hexagonal axes)
Symmetry-distinct sites (fractional):
Mg  0.0000  0.0000  0.0000 [3 per cell]
Mg  0.0039  0.5019  0.4166 [18 per cell]
Ag  0.0000  0.0000  0.1669 [6 per cell]
Ag  0.0000  0.0000  0.3451 [6 per cell]
Ag  0.0000  0.0000  0.4507 [6 per cell]

No. 3
Li15RhN6: calculated XRD peak list (Cu Kα (λ = 1.5418 Å)), based on a crystal structure in Alexandria, relaxed with PBE.

Largest 10 diffraction maxima, by intensity, 2θ from 10° to 90°:
(1 1 0), 15.28°, intensity 100.0
(3 1 0), 34.60°, intensity 26.8
(2 0 0), 21.68°, intensity 23.8
(5 1 0), 57.30°, intensity 15.6
(3 3 0), 47.03°, intensity 15.1
(3 2 1), 41.20°, intensity 14.7
(4 0 0), 44.19°, intensity 12.2
(2 1 1), 26.63°, intensity 11.3
(4 2 0), 49.74°, intensity 8.3
(4 4 0), 64.27°, intensity 6.7

Structural model:
Cell: 8.1982 8.1982 8.1982 Å, 90.00 90.00 90.00°
Space group Im-3m (No. 229)
Symmetry-distinct sites (fractional):
Li  0.0000  0.0000  0.5000 [6 per cell]
Li  0.0000  0.2309  0.2309 [24 per cell]
Rh  0.0000  0.0000  0.0000 [2 per cell]
N  0.0000  0.0000  0.2728 [12 per cell]